# 1
The following is a computed PXRD pattern of BaPaTe4. It was derived from DFT lattice parameters and positions (GGA-PBE), using a wavelength of 1.5418 Å.

Structure:
Unit cell a=7.135 b=7.135 c=8.658 alpha=90.00 beta=90.00 gamma=90.00
Space group P4/mbm (No. 127)
Unique sites:
Ba: 0.000 0.000 0.000 (multiplicity 2)
Pa: 0.000 0.000 0.500 (multiplicity 2)
Te: 0.207 0.293 0.288 (multiplicity 8)

Most intense lines, 10° ≤ 2θ ≤ 90°, low angle first:
8.658 Å, I = 29, hkl 0 0 1; 5.045 Å, I = 43, hkl 1 1 0; 3.285 Å, I = 44, hkl 1 1 2; 3.191 Å, I = 16, hkl 2 1 0; 2.753 Å, I = 100, hkl 2 0 2; 2.569 Å, I = 14, hkl 2 1 2; 2.523 Å, I = 38, hkl 2 2 0; 2.256 Å, I = 22, hkl 3 1 0; 2.244 Å, I = 15, hkl 2 0 3; 1.497 Å, I = 17, hkl 4 2 2

---

# 2
The following is a computed PXRD pattern of TiTeI. It was derived from DFT lattice parameters and positions (GGA-PBE), using a wavelength of 1.5418 Å.

Structure:
Unit cell a=3.849 b=5.521 c=8.967 alpha=90.00 beta=90.25 gamma=90.00
Space group P2_1/m (No. 11)
Unique sites:
Ti: 0.249 0.250 0.402 (multiplicity 2)
Te: 0.249 0.750 0.372 (multiplicity 2)
I: 0.253 0.750 0.831 (multiplicity 2)

Most intense lines, 10° ≤ 2θ ≤ 90°, low angle first:
3.480 Å, I = 100, hkl 0 1 2; 3.158 Å, I = 92, hkl 1 1 0; 2.927 Å, I = 70, hkl 1 0 -2; 2.914 Å, I = 70, hkl 1 0 2; 2.760 Å, I = 70, hkl 0 2 0; 2.242 Å, I = 20, hkl 0 0 4; 2.006 Å, I = 93, hkl 1 2 2; 1.925 Å, I = 24, hkl 2 0 0; 1.579 Å, I = 25, hkl 2 2 0; 1.248 Å, I = 22, hkl 1 4 2

---

# 3
The following is a computed PXRD pattern of Zr2AsPt2. It was derived from DFT lattice parameters and positions (GGA-PBE), using a wavelength of 1.5418 Å.

Structure:
Unit cell a=7.332 b=7.332 c=3.598 alpha=90.00 beta=90.00 gamma=90.00
Space group P4/mbm (No. 127)
Unique sites:
Zr: 0.169 0.331 0.000 (multiplicity 4)
As: 0.000 0.000 0.500 (multiplicity 2)
Pt: 0.131 0.631 0.500 (multiplicity 4)

Most intense lines, 10° ≤ 2θ ≤ 90°, low angle first:
5.184 Å, I = 20, hkl 1 1 0; 3.598 Å, I = 15, hkl 0 0 1; 3.279 Å, I = 12, hkl 2 1 0; 2.424 Å, I = 100, hkl 2 1 1; 2.318 Å, I = 35, hkl 3 1 0; 1.949 Å, I = 11, hkl 3 1 1; 1.799 Å, I = 12, hkl 0 0 2; 1.770 Å, I = 12, hkl 3 2 1; 1.421 Å, I = 15, hkl 3 1 2; 1.273 Å, I = 15, hkl 5 2 1